Simulated X-ray powder pattern
Compound: GdThTe
Radiation: Cu Kα X-rays
Structure: a cell relaxed with GGA-PBE
Peak positions follow from Bragg's law for the DFT cell and can differ from measured ones.

Main lines, by intensity (10° ≤ 2θ ≤ 90°):
31.54°, 2.837 Å, I 100
32.80°, 2.730 Å, I 49
57.77°, 1.596 Å, I 36
47.07°, 1.930 Å, I 18
55.35°, 1.660 Å, I 16
24.12°, 3.690 Å, I 11
65.85°, 1.418 Å, I 9
78.31°, 1.221 Å, I 8
43.28°, 2.091 Å, I 8
77.62°, 1.230 Å, I 8

Structural model:
```
data_GdThTe
_cell_length_a 3.8610
_cell_length_b 3.8610
_cell_length_c 12.5433
_cell_angle_alpha 90.00
_cell_angle_beta 90.00
_cell_angle_gamma 90.00
_symmetry_space_group_name_H-M 'I 4 m m'
_symmetry_Int_Tables_number 107
_symmetry_space_group_name_Hall 'I 4 -2'
loop_
_atom_site_label
_atom_site_fract_x
_atom_site_fract_y
_atom_site_fract_z
Gd1 0.0000 0.0000 0.0000
Th1 0.0000 0.0000 0.2968
Te1 0.0000 0.0000 0.6438
```